(1)
Computed XRD peak list of FeCo2 for a wavelength of 1.5418 Å, from a crystal structure in Alexandria, relaxed with GGA-PBE.
Peak positions follow from Bragg's law for the DFT cell and can differ from measured ones.

Largest 5 diffraction maxima, by intensity, 2θ = 10–80°:
| 2θ (°) | Rel. int. |
| --- | --- |
| 45.51 | 100 |
| 45.27 | 68 |
| 45.08 | 34 |
| 66.32 | 20 |
| 65.62 | 10 |

Atomic structure:
```
data_FeCo2
_cell_length_a 8.9429
_cell_length_b 2.8200
_cell_length_c 5.6912
_cell_angle_alpha 90.00
_cell_angle_beta 109.05
_cell_angle_gamma 90.00
_space_group_name_H-M_alt 'C 1 2/m 1'
_space_group_IT_number 12
loop_
_space_group_symop_operation_xyz
'x,y,z'
'-x,-y,-z'
'-x,y,-z'
'x,-y,z'
'x+1/2,y+1/2,z'
'-x+1/2,-y+1/2,-z'
'-x+1/2,y+1/2,-z'
'x+1/2,-y+1/2,z'
loop_
_atom_site_label
_atom_site_type_symbol
_atom_site_fract_x
_atom_site_fract_y
_atom_site_fract_z
Fe1 Fe 0.1665 0.0000 0.0845
Co1 Co 0.0011 0.5000 0.2472
Co2 Co 0.1678 0.0000 0.5872
```



(2)
Computed XRD peak list of ZnGe2PbS6 for a wavelength of 1.5418 Å, from a crystal structure in Alexandria, relaxed with GGA-PBE.
Peak positions follow from Bragg's law for the DFT cell and can differ from measured ones.

Largest 10 diffraction maxima, by intensity, 2θ = 10–80°:
| 2θ (°) | Rel. int. |
| --- | --- |
| 21.65 | 100 |
| 23.45 | 89 |
| 10.24 | 75 |
| 25.15 | 63 |
| 28.01 | 55 |
| 27.80 | 50 |
| 42.27 | 47 |
| 32.93 | 44 |
| 27.20 | 42 |
| 30.57 | 40 |

Atomic structure:
```
data_ZnGe2PbS6
_cell_length_a 12.7976
_cell_length_b 12.5071
_cell_length_c 6.8286
_cell_angle_alpha 90.00
_cell_angle_beta 111.06
_cell_angle_gamma 90.00
_space_group_name_H-M_alt 'C 1 2/c 1'
_space_group_IT_number 15
loop_
_space_group_symop_operation_xyz
'x,y,z'
'-x,-y,-z'
'-x,y,-z+1/2'
'x,-y,z+1/2'
'x+1/2,y+1/2,z'
'-x+1/2,-y+1/2,-z'
'-x+1/2,y+1/2,-z+1/2'
'x+1/2,-y+1/2,z+1/2'
loop_
_atom_site_label
_atom_site_type_symbol
_atom_site_fract_x
_atom_site_fract_y
_atom_site_fract_z
Zn1 Zn 0.0000 0.2333 0.2500
Ge1 Ge 0.1973 0.4268 0.6955
Pb1 Pb 0.0000 0.1221 0.7500
S1 S 0.1154 0.0770 0.1952
S2 S 0.1317 0.2648 0.5748
S3 S 0.1324 0.4363 0.9687
```



(3)
Computed XRD peak list of CsInS2O10 for a wavelength of 1.5418 Å, from a crystal structure in Alexandria, relaxed with GGA-PBE.
Peak positions follow from Bragg's law for the DFT cell and can differ from measured ones.

Largest 10 diffraction maxima, by intensity, 2θ = 10–80°:
| 2θ (°) | Rel. int. |
| --- | --- |
| 22.97 | 100 |
| 29.88 | 50 |
| 27.04 | 38 |
| 21.88 | 31 |
| 11.24 | 30 |
| 30.10 | 30 |
| 25.69 | 30 |
| 14.90 | 22 |
| 17.55 | 20 |
| 44.20 | 19 |

Atomic structure:
```
data_CsInS2O10
_cell_length_a 9.4690
_cell_length_b 15.7380
_cell_length_c 6.9900
_cell_angle_alpha 90.00
_cell_angle_beta 109.37
_cell_angle_gamma 90.00
_space_group_name_H-M_alt 'C 1 2/c 1'
_space_group_IT_number 15
loop_
_space_group_symop_operation_xyz
'x,y,z'
'-x,-y,-z'
'-x,y,-z+1/2'
'x,-y,z+1/2'
'x+1/2,y+1/2,z'
'-x+1/2,-y+1/2,-z'
'-x+1/2,y+1/2,-z+1/2'
'x+1/2,-y+1/2,z+1/2'
loop_
_atom_site_label
_atom_site_type_symbol
_atom_site_fract_x
_atom_site_fract_y
_atom_site_fract_z
Cs1 Cs 0.0000 0.1060 0.2500
In1 In 0.0000 0.3002 0.7500
S1 S 0.2392 0.3517 0.1903
O1 O 0.1066 0.2968 0.0807
O2 O 0.1080 0.4206 0.7239
O3 O 0.1402 0.2081 0.6791
O4 O 0.2048 0.1060 0.9614
O5 O 0.2075 0.4110 0.3307
```



(4)
Computed XRD peak list of TcHOsAuN for a wavelength of 1.5418 Å, from a crystal structure in Alexandria, relaxed with GGA-PBE.
Peak positions follow from Bragg's law for the DFT cell and can differ from measured ones.

Largest 10 diffraction maxima, by intensity, 2θ = 10–80°:
| 2θ (°) | Rel. int. |
| --- | --- |
| 38.66 | 100 |
| 18.36 | 99 |
| 37.20 | 79 |
| 45.20 | 62 |
| 39.49 | 46 |
| 37.47 | 42 |
| 43.90 | 30 |
| 77.21 | 23 |
| 63.27 | 22 |
| 48.22 | 21 |

Atomic structure:
```
data_TcHOsAuN
_cell_length_a 4.8795
_cell_length_b 2.8216
_cell_length_c 5.1654
_cell_angle_alpha 90.00
_cell_angle_beta 110.71
_cell_angle_gamma 90.00
_space_group_name_H-M_alt 'P 1 m 1'
_space_group_IT_number 6
loop_
_space_group_symop_operation_xyz
'x,y,z'
'x,-y,z'
loop_
_atom_site_label
_atom_site_type_symbol
_atom_site_fract_x
_atom_site_fract_y
_atom_site_fract_z
Tc1 Tc 0.0000 0.0000 0.0000
H1 H 0.2301 0.5000 0.9055
Os1 Os 0.9726 0.5000 0.5484
Au1 Au 0.4623 0.0000 0.5244
N1 N 0.8325 0.5000 0.1523
```



(5)
Computed XRD peak list of Ho9Tm2Th for a wavelength of 1.5418 Å, from a crystal structure in Alexandria, relaxed with GGA-PBE.
Peak positions follow from Bragg's law for the DFT cell and can differ from measured ones.

Largest 7 diffraction maxima, by intensity, 2θ = 10–80°:
| 2θ (°) | Rel. int. |
| --- | --- |
| 31.07 | 100 |
| 36.03 | 51 |
| 61.71 | 43 |
| 51.88 | 36 |
| 64.78 | 12 |
| 76.37 | 4 |
| 76.54 | 2 |

Atomic structure:
```
data_Ho9Tm2Th
_cell_length_a 4.9883
_cell_length_b 4.9883
_cell_length_c 14.9357
_cell_angle_alpha 90.00
_cell_angle_beta 90.00
_cell_angle_gamma 90.00
_space_group_name_H-M_alt 'P 4/m m m'
_space_group_IT_number 123
_space_group_name_Hall '-P 4 2'
loop_
_atom_site_label
_atom_site_type_symbol
_atom_site_fract_x
_atom_site_fract_y
_atom_site_fract_z
Ho1 Ho 0.0000 0.0000 0.0000
Ho2 Ho 0.0000 0.0000 0.3357
Ho3 Ho 0.0000 0.5000 0.1662
Ho4 Ho 0.0000 0.5000 0.5000
Tm1 Tm 0.5000 0.5000 0.3336
Th1 Th 0.5000 0.5000 0.0000
```